Record 1
Diffraction record for KAcH8Pt2. The powder diffractogram is theoretical, not measured: it uses a cell relaxed with PBE and Cu Kα X-rays.

Atomic structure:
Unit cell a=9.690 b=9.690 c=9.690 alpha=26.69 beta=26.69 gamma=26.69
Sites, in units of the cell vectors:
K 0.000 0.000 0.000
Ac 0.500 0.500 0.500
H 0.080 0.550 0.550
H 0.179 0.179 0.179
H 0.450 0.450 0.920
H 0.450 0.920 0.450
H 0.550 0.080 0.550
H 0.550 0.550 0.080
H 0.821 0.821 0.821
H 0.920 0.450 0.450
Pt 0.241 0.241 0.241
Pt 0.759 0.759 0.759

Principal peaks in the range 2θ = 15–90°, low angle first:
2θ 26.3, intensity 100; 2θ 32.2, intensity 15; 2θ 34.5, intensity 46; 2θ 38.6, intensity 10; 2θ 40.3, intensity 34; 2θ 41.5, intensity 9; 2θ 42.5, intensity 11; 2θ 48.8, intensity 22; 2θ 54.1, intensity 13; 2θ 57.0, intensity 19; 2θ 65.1, intensity 25; 2θ 69.6, intensity 12


Record 2
Diffraction record for SrBeGa2Au4. The powder diffractogram is theoretical, not measured: it uses a cell relaxed with PBE and Cu Kα X-rays.

Atomic structure:
Unit cell a=9.558 b=9.558 c=9.558 alpha=26.90 beta=26.90 gamma=26.90
Sites, in units of the cell vectors:
Sr 0.000 0.000 0.000
Be 0.500 0.500 0.500
Ga 0.248 0.248 0.248
Ga 0.752 0.752 0.752
Au 0.143 0.143 0.143
Au 0.412 0.412 0.412
Au 0.588 0.588 0.588
Au 0.857 0.857 0.857

Principal peaks in the range 2θ = 15–90°, low angle first:
2θ 26.5, intensity 34; 2θ 28.3, intensity 33; 2θ 32.5, intensity 100; 2θ 34.9, intensity 19; 2θ 40.6, intensity 100; 2θ 43.0, intensity 37; 2θ 52.9, intensity 26; 2θ 57.7, intensity 18; 2θ 68.8, intensity 24; 2θ 73.8, intensity 17; 2θ 75.3, intensity 18; 2θ 75.5, intensity 14


Record 3
Diffraction record for CsSbPd. The powder diffractogram is theoretical, not measured: it uses a cell relaxed with PBE and Cu Kα X-rays.

Atomic structure:
Unit cell a=5.221 b=5.221 c=7.127 alpha=90.00 beta=90.00 gamma=90.00
Sites, in units of the cell vectors:
Cs 0.250 0.250 0.113
Cs 0.750 0.750 0.887
Sb 0.250 0.750 0.500
Sb 0.750 0.250 0.500
Pd 0.250 0.250 0.620
Pd 0.750 0.750 0.380

Principal peaks in the range 2θ = 15–90°, low angle first:
2θ 24.1, intensity 22; 2θ 25.0, intensity 16; 2θ 27.2, intensity 46; 2θ 30.4, intensity 100; 2θ 34.4, intensity 83; 2θ 42.9, intensity 15; 2θ 46.5, intensity 60; 2θ 49.4, intensity 29; 2θ 57.4, intensity 36; 2θ 59.1, intensity 15; 2θ 70.1, intensity 18; 2θ 79.1, intensity 28


Record 4
Diffraction record for LaPr5Ag4. The powder diffractogram is theoretical, not measured: it uses a cell relaxed with PBE and Cu Kα X-rays.

Atomic structure:
Unit cell a=3.768 b=3.768 c=20.371 alpha=90.00 beta=90.00 gamma=90.00
Sites, in units of the cell vectors:
La 0.000 0.000 0.000
Pr 0.500 0.500 0.126
Pr 0.500 0.500 0.312
Pr 0.500 0.500 0.500
Pr 0.500 0.500 0.688
Pr 0.500 0.500 0.874
Ag 0.000 0.000 0.219
Ag 0.000 0.000 0.406
Ag 0.000 0.000 0.594
Ag 0.000 0.000 0.781

Principal peaks in the range 2θ = 15–90°, low angle first:
2θ 29.5, intensity 7; 2θ 32.4, intensity 100; 2θ 33.6, intensity 58; 2θ 35.6, intensity 15; 2θ 48.3, intensity 20; 2θ 56.9, intensity 9; 2θ 59.3, intensity 34; 2θ 60.9, intensity 9; 2θ 61.4, intensity 6; 2θ 70.7, intensity 6; 2θ 79.9, intensity 7; 2θ 80.6, intensity 9


Record 5
Diffraction record for Ac3Cu2Se6. The powder diffractogram is theoretical, not measured: it uses a cell relaxed with PBE and Cu Kα X-rays.

Atomic structure:
Unit cell a=12.870 b=12.870 c=12.870 alpha=158.25 beta=158.25 gamma=30.96
Sites, in units of the cell vectors:
Ac 0.000 0.000 0.000
Ac 0.171 0.171 0.000
Ac 0.829 0.829 0.000
Cu 0.398 0.398 0.000
Cu 0.602 0.602 0.000
Se 0.082 0.582 0.500
Se 0.296 0.296 0.000
Se 0.418 0.918 0.500
Se 0.582 0.082 0.500
Se 0.704 0.704 0.000
Se 0.918 0.418 0.500

Principal peaks in the range 2θ = 15–90°, low angle first:
2θ 18.6, intensity 39; 2θ 25.7, intensity 58; 2θ 25.9, intensity 51; 2θ 26.9, intensity 18; 2θ 31.2, intensity 44; 2θ 33.9, intensity 100; 2θ 37.0, intensity 81; 2θ 45.6, intensity 26; 2θ 49.2, intensity 25; 2θ 53.3, intensity 28; 2θ 58.6, intensity 21; 2θ 64.7, intensity 32


Record 6
Diffraction record for LaHfAu. The powder diffractogram is theoretical, not measured: it uses a cell relaxed with PBE and Cu Kα X-rays.

Atomic structure:
Unit cell a=5.592 b=5.600 c=5.756 alpha=69.34 beta=69.41 gamma=61.94
Sites, in units of the cell vectors:
La 0.000 0.000 0.000
La 0.249 0.752 0.500
Hf 0.558 0.104 0.552
Hf 0.897 0.441 0.448
Au 0.367 0.299 0.042
Au 0.701 0.633 0.957

Principal peaks in the range 2θ = 15–90°, low angle first:
2θ 32.3, intensity 53; 2θ 34.2, intensity 50; 2θ 34.5, intensity 80; 2θ 35.1, intensity 15; 2θ 35.6, intensity 100; 2θ 38.8, intensity 45; 2θ 44.2, intensity 22; 2θ 56.1, intensity 24; 2θ 58.4, intensity 13; 2θ 62.1, intensity 11; 2θ 64.5, intensity 16; 2θ 67.5, intensity 12


Record 7
Diffraction record for Hg5Sb2I5. The powder diffractogram is theoretical, not measured: it uses a cell relaxed with PBE and Cu Kα X-rays.

Atomic structure:
Unit cell a=8.424 b=8.424 c=8.753 alpha=97.88 beta=97.88 gamma=112.74
Sites, in units of the cell vectors:
Hg 0.000 0.000 0.000
Hg 0.339 0.339 0.520
Hg 0.397 0.740 0.232
Hg 0.685 0.685 0.602
Hg 0.740 0.397 0.232
Sb 0.695 0.695 0.927
Sb 0.727 0.727 0.292
I 0.158 0.852 0.357
I 0.302 0.302 0.042
I 0.450 0.879 0.917
I 0.852 0.158 0.357
I 0.879 0.450 0.917

Principal peaks in the range 2θ = 15–90°, low angle first:
2θ 21.8, intensity 53; 2θ 22.7, intensity 68; 2θ 23.4, intensity 45; 2θ 24.5, intensity 100; 2θ 24.9, intensity 48; 2θ 27.7, intensity 39; 2θ 30.3, intensity 67; 2θ 31.4, intensity 75; 2θ 32.3, intensity 37; 2θ 33.2, intensity 36; 2θ 37.4, intensity 48; 2θ 38.5, intensity 54


Record 8
Diffraction record for ErReW. The powder diffractogram is theoretical, not measured: it uses a cell relaxed with PBE and Cu Kα X-rays.

Atomic structure:
Unit cell a=5.449 b=5.449 c=5.449 alpha=120.07 beta=119.50 gamma=90.38
Sites, in units of the cell vectors:
Er 0.373 0.123 0.250
Er 0.627 0.877 0.750
Re 0.000 0.000 0.500
Re 0.000 0.500 0.000
W 0.000 0.500 0.500
W 0.500 0.500 0.000

Principal peaks in the range 2θ = 15–90°, low angle first:
2θ 32.9, intensity 39; 2θ 38.6, intensity 67; 2θ 38.8, intensity 100; 2θ 38.9, intensity 32; 2θ 40.4, intensity 43; 2θ 40.6, intensity 44; 2θ 62.3, intensity 25; 2θ 62.5, intensity 16; 2θ 62.8, intensity 24; 2θ 68.9, intensity 48; 2θ 82.6, intensity 12; 2θ 83.1, intensity 11


Record 9
Diffraction record for Ho2Th3Rh2. The powder diffractogram is theoretical, not measured: it uses a cell relaxed with PBE and Cu Kα X-rays.

Atomic structure:
Unit cell a=6.171 b=6.171 c=8.969 alpha=108.70 beta=108.70 gamma=36.17
Sites, in units of the cell vectors:
Ho 0.164 0.164 0.298
Ho 0.836 0.836 0.702
Th 0.379 0.379 0.062
Th 0.500 0.500 0.500
Th 0.621 0.621 0.938
Rh 0.142 0.142 0.703
Rh 0.858 0.858 0.297

Principal peaks in the range 2θ = 15–90°, low angle first:
2θ 27.9, intensity 32; 2θ 30.4, intensity 100; 2θ 30.7, intensity 98; 2θ 32.8, intensity 68; 2θ 33.8, intensity 26; 2θ 34.4, intensity 89; 2θ 35.3, intensity 54; 2θ 37.9, intensity 32; 2θ 38.3, intensity 27; 2θ 47.5, intensity 41; 2θ 57.4, intensity 35; 2θ 60.3, intensity 33


Record 10
Diffraction record for La7Tm3. The powder diffractogram is theoretical, not measured: it uses a cell relaxed with PBE and Cu Kα X-rays.

Atomic structure:
Unit cell a=8.958 b=8.958 c=7.238 alpha=100.97 beta=100.97 gamma=38.42
Sites, in units of the cell vectors:
La 0.000 0.000 0.000
La 0.190 0.190 0.730
La 0.381 0.381 0.075
La 0.397 0.397 0.592
La 0.603 0.603 0.408
La 0.619 0.619 0.925
La 0.810 0.810 0.270
Tm 0.000 0.000 0.500
Tm 0.197 0.197 0.249
Tm 0.803 0.803 0.751

Principal peaks in the range 2θ = 15–90°, low angle first:
2θ 29.3, intensity 23; 2θ 30.3, intensity 30; 2θ 30.8, intensity 6; 2θ 31.0, intensity 100; 2θ 36.1, intensity 6; 2θ 42.7, intensity 16; 2θ 46.1, intensity 8; 2θ 53.0, intensity 6; 2θ 54.3, intensity 21; 2θ 55.7, intensity 6; 2θ 56.2, intensity 9; 2θ 71.0, intensity 6


Record 11
Diffraction record for PrNd12Ho5. The powder diffractogram is theoretical, not measured: it uses a cell relaxed with PBE and Cu Kα X-rays.

Atomic structure:
Unit cell a=10.910 b=5.154 c=10.922 alpha=90.00 beta=90.15 gamma=90.00
Sites, in units of the cell vectors:
Pr 0.000 0.000 0.000
Nd 0.002 0.000 0.667
Nd 0.167 0.500 0.167
Nd 0.169 0.500 0.502
Nd 0.333 0.000 0.998
Nd 0.336 0.000 0.336
Nd 0.498 0.500 0.831
Nd 0.502 0.500 0.169
Nd 0.664 0.000 0.664
Nd 0.667 0.000 0.002
Nd 0.831 0.500 0.498
Nd 0.833 0.500 0.833
Nd 0.998 0.000 0.333
Ho 0.168 0.500 0.832
Ho 0.333 0.000 0.667
Ho 0.500 0.500 0.500
Ho 0.667 0.000 0.333
Ho 0.832 0.500 0.168

Principal peaks in the range 2θ = 15–90°, low angle first:
2θ 30.1, intensity 100; 2θ 34.8, intensity 34; 2θ 34.9, intensity 17; 2θ 50.1, intensity 30; 2θ 50.2, intensity 6; 2θ 59.5, intensity 29; 2θ 59.6, intensity 14; 2θ 62.5, intensity 12; 2θ 81.4, intensity 6; 2θ 81.5, intensity 12; 2θ 84.0, intensity 10; 2θ 84.2, intensity 4


Record 12
Diffraction record for In7Pt3. The powder diffractogram is theoretical, not measured: it uses a cell relaxed with PBE and Cu Kα X-rays.

Atomic structure:
Unit cell a=8.309 b=8.309 c=8.309 alpha=109.47 beta=109.47 gamma=109.47
Sites, in units of the cell vectors:
In 0.000 0.000 0.325
In 0.000 0.000 0.675
In 0.000 0.325 0.000
In 0.000 0.675 0.000
In 0.250 0.500 0.750
In 0.250 0.750 0.500
In 0.325 0.000 0.000
In 0.325 0.325 0.325
In 0.500 0.250 0.750
In 0.500 0.750 0.250
In 0.675 0.000 0.000
In 0.675 0.675 0.675
In 0.750 0.250 0.500
In 0.750 0.500 0.250
Pt 0.000 0.345 0.345
Pt 0.000 0.655 0.655
Pt 0.345 0.000 0.345
Pt 0.345 0.345 0.000
Pt 0.655 0.000 0.655
Pt 0.655 0.655 0.000

Principal peaks in the range 2θ = 15–90°, low angle first:
2θ 18.5, intensity 11; 2θ 22.7, intensity 30; 2θ 32.3, intensity 30; 2θ 35.0, intensity 22; 2θ 39.9, intensity 100; 2θ 46.4, intensity 19; 2θ 57.6, intensity 20; 2θ 59.4, intensity 9; 2θ 62.8, intensity 15; 2θ 72.4, intensity 34; 2θ 81.5, intensity 18; 2θ 86.0, intensity 7